# ScCrInCl6
Theoretical powder diffractogram, a wavelength of 1.5418 Å. Input: a PBE-relaxed structure.
Lines closer than 0.1° are merged.

Top 6 peaks for 2θ = 5–70°, most intense first:
(0 1 -1), d 4.574, 19.4°, I = 100; (-1 2 2), d 2.354, 38.2°, I = 96; (-1 1 1), d 4.343, 20.4°, I = 91; (0 1 1), d 4.376, 20.3°, I = 90; (-2 1 1), d 2.964, 30.2°, I = 54; (3 0 0), d 1.925, 47.2°, I = 51

abc: 6.468 6.470 7.077
angles: 91.55 91.64 116.66
Space group P1 (No. 1)
Inequivalent atoms, fractional coordinates:
Sc: 0.000 0.000 0.000 (multiplicity 1)
Cr: 0.661 0.340 0.000 (multiplicity 1)
In: 0.325 0.675 0.500 (multiplicity 1)
Cl: 0.306 0.031 0.225 (multiplicity 1)
Cl: 0.324 0.305 0.819 (multiplicity 1)
Cl: 0.696 0.676 0.181 (multiplicity 1)
Cl: 0.698 0.058 0.797 (multiplicity 1)
Cl: 0.943 0.302 0.203 (multiplicity 1)
Cl: 0.968 0.694 0.774 (multiplicity 1)